(1)
Structure and theoretical PXRD pattern of PmCd6Pd12 (a GGA-PBE-relaxed structure; Cu Ka).
No peak broadening, texture or thermal motion is included.

Peak list (8 most intense, 5° ≤ 2θ ≤ 70°, in order of rising 2θ)
- 37.93°, I 35
- 38.40°, I 29
- 38.52°, I 100
- 39.38°, I 52
- 41.38°, I 14
- 41.83°, I 39
- 58.45°, I 14
- 67.40°, I 13

Structural model:
```
PmCd6Pd12
1.0
5.5577 3.2087 3.2637
-5.5577 3.2087 3.2637
0.0000 -6.4175 3.2637
Pm Cd Pd
1 6 12
Cartesian
0.0000 0.0000 0.0000
-0.0067 -1.7075 2.6491
-1.4754 0.8595 2.6491
1.4821 0.8479 2.6491
-1.4821 -0.8480 7.1419
1.4754 -0.8595 7.1419
0.0067 1.7075 7.1419
4.1176 -0.7223 6.5289
-4.1176 0.7223 3.2620
-2.3337 -1.3423 4.4806
1.4332 -3.9271 3.2620
-2.6843 -3.2048 6.5289
-0.0044 -2.6922 5.3103
-2.3293 1.3499 5.3103
2.3293 -1.3499 4.4806
0.0044 2.6922 4.4806
2.6843 3.2048 3.2620
-1.4332 3.9271 6.5289
2.3337 1.3422 5.3104
```

(2)
Structure and theoretical PXRD pattern of NdDy3Th4S8 (a GGA-PBE-relaxed structure; Cu Ka).
No peak broadening, texture or thermal motion is included.

Peak list (8 most intense, 5° ≤ 2θ ≤ 70°, in order of rising 2θ)
- 26.53°, I 29
- 27.64°, I 69
- 31.70°, I 100
- 44.74°, I 38
- 46.14°, I 35
- 54.02°, I 24
- 54.64°, I 18
- 57.07°, I 19

Structural model:
```
NdDy3Th4S8
1.0
3.9344 2.2715 6.7185
-3.9344 2.2715 6.7185
0.0000 -4.5431 6.7185
Nd Dy Th S
1 3 4 8
Cartesian
0.0000 0.0000 0.0000
-1.9672 -1.1358 6.7185
-1.9672 1.1358 13.4370
0.0000 2.2715 6.7185
-3.9344 0.0000 10.0778
-1.9672 1.1358 3.3593
1.9672 1.1358 3.3593
0.0000 0.0000 10.0778
0.0000 -2.2271 8.3215
-1.9288 1.1136 8.3215
0.0000 0.0000 5.1447
-1.9288 -1.1136 11.8340
1.9288 1.1136 8.3216
0.0000 0.0000 15.0108
1.9288 -1.1136 11.8340
0.0000 2.2271 11.8340
```

(3)
Structure and theoretical PXRD pattern of PrCu4Sb3O12 (a GGA-PBE-relaxed structure; Cu Ka).
No peak broadening, texture or thermal motion is included.

Peak list (8 most intense, 5° ≤ 2θ ≤ 70°, in order of rising 2θ)
- 22.04°, I 32
- 27.47°, I 48
- 28.26°, I 38
- 29.92°, I 100
- 36.12°, I 39
- 48.08°, I 29
- 53.94°, I 28
- 61.09°, I 27

Structural model:
```
PrCu4Sb3O12
1.0
5.4696 3.1579 2.5650
-5.4696 3.1579 2.5650
0.0000 -6.3157 2.5650
Pr Cu Sb O
1 4 3 12
Cartesian
0.0000 0.0000 0.0000
-2.1896 -3.7924 3.8475
0.0000 0.0000 3.8475
-2.1896 3.7924 3.8475
4.3791 0.0000 3.8475
-3.1237 -0.9053 2.5650
2.3459 -2.2526 2.5650
0.7778 3.1579 2.5650
-3.5675 -2.5751 3.5938
-4.4556 0.0000 3.8475
-0.4464 -4.3771 4.1011
-1.8873 0.0000 3.8475
-3.5675 2.5751 4.1011
2.2278 -3.8586 3.8475
0.9437 -1.6345 3.8475
-0.4464 4.3771 3.5938
0.9437 1.6345 3.8475
4.0139 -1.8020 3.5938
2.2278 3.8586 3.8475
4.0139 1.8020 4.1011
```

(4)
Structure and theoretical PXRD pattern of CeTm14Sc (a GGA-PBE-relaxed structure; Cu Ka).
No peak broadening, texture or thermal motion is included.

Peak list (8 most intense, 5° ≤ 2θ ≤ 70°, in order of rising 2θ)
- 30.59°, I 36
- 31.86°, I 33
- 33.64°, I 100
- 38.24°, I 20
- 52.36°, I 24
- 57.91°, I 21
- 62.61°, I 29
- 63.69°, I 16

Structural model:
```
CeTm14Sc
1.0
11.2342 0.0000 0.0000
0.0000 3.4939 6.0548
0.0000 -3.4939 6.0548
Ce Tm Sc
1 14 1
Cartesian
0.0000 0.0000 0.0000
0.0000 -1.7561 3.0487
0.0000 1.7561 3.0487
2.7915 -1.7491 7.0673
2.7819 0.0000 4.0637
2.7915 1.7491 7.0673
2.8371 0.0000 10.1174
5.6171 0.0000 2.0347
5.6171 -1.7357 5.0578
5.6171 1.7357 5.0578
5.6171 0.0000 8.0786
8.3971 0.0000 10.1174
8.4426 -1.7491 7.0673
8.4523 0.0000 4.0637
8.4426 1.7491 7.0673
0.0000 0.0000 6.0751
```